No. 1
# MnZn3S4
Computed powder XRD pattern, Cu Kα (λ = 1.5418 Å). Input: DFT lattice parameters and positions (PBE).
Lines closer than 0.1° are merged.

Structural model:
```
data_MnZn3S4
_space_group_name_H-M_alt 'P 3 m 1'
_space_group_IT_number 156
_space_group_name_Hall 'P 3 -2"'
_cell_length_a 3.8806
_cell_length_b 3.8806
_cell_length_c 12.7325
_cell_angle_alpha 90.00
_cell_angle_beta 90.00
_cell_angle_gamma 120.00
loop_
_atom_site_label
_atom_site_type_symbol
_atom_site_fract_x
_atom_site_fract_y
_atom_site_fract_z
_atom_site_occupancy
Mn1 Mn 0.0000 0.0000 0.0000 1
Zn1 Zn 0.0000 0.0000 0.5015 1
Zn2 Zn 0.3333 0.6667 0.2545 1
Zn3 Zn 0.3333 0.6667 0.7490 1
S1 S 0.0000 0.0000 0.3155 1
S2 S 0.0000 0.0000 0.8108 1
S3 S 0.3333 0.6667 0.0694 1
S4 S 0.3333 0.6667 0.5632 1
```

Peak list (8 most intense, 15 to 90 degrees two-theta, sorted by position)
(hkl), two_theta, intensity
1 0 0, 26.52, 952
0 0 4, 28.03, 592
1 0 2, 30.07, 1000
1 0 4, 38.97, 356
1 1 0, 46.82, 735
1 0 6, 50.89, 742
1 1 4, 55.46, 475
0 2 6, 71.63, 250

=====

No. 2
# MnZn4S5
Computed powder XRD pattern, Cu Kα (λ = 1.5418 Å). Input: DFT lattice parameters and positions (PBE).
Lines closer than 0.1° are merged.

Structural model:
```
data_MnZn4S5
_space_group_name_H-M_alt 'P 3 m 1'
_space_group_IT_number 156
_space_group_name_Hall 'P 3 -2"'
_cell_length_a 3.8746
_cell_length_b 3.8746
_cell_length_c 31.7094
_cell_angle_alpha 90.00
_cell_angle_beta 90.00
_cell_angle_gamma 120.00
loop_
_atom_site_label
_atom_site_type_symbol
_atom_site_fract_x
_atom_site_fract_y
_atom_site_fract_z
_atom_site_occupancy
Mn1 Mn 0.0000 0.0000 0.0000 1
Mn2 Mn 0.0000 0.0000 0.2000 1
Zn1 Zn 0.0000 0.0000 0.4003 1
Zn2 Zn 0.0000 0.0000 0.6003 1
Zn3 Zn 0.0000 0.0000 0.8003 1
Zn4 Zn 0.6667 0.3333 0.1002 1
Zn5 Zn 0.6667 0.3333 0.3004 1
Zn6 Zn 0.6667 0.3333 0.5003 1
Zn7 Zn 0.6667 0.3333 0.7003 1
Zn8 Zn 0.6667 0.3333 0.9000 1
S1 S 0.0000 0.0000 0.1247 1
S2 S 0.0000 0.0000 0.3254 1
S3 S 0.0000 0.0000 0.5254 1
S4 S 0.0000 0.0000 0.7254 1
S5 S 0.0000 0.0000 0.9247 1
S6 S 0.6667 0.3333 0.0264 1
S7 S 0.6667 0.3333 0.2265 1
S8 S 0.6667 0.3333 0.4254 1
S9 S 0.6667 0.3333 0.6254 1
S10 S 0.6667 0.3333 0.8253 1
```

Peak list (8 most intense, 15 to 90 degrees two-theta, sorted by position)
(hkl), two_theta, intensity
1 0 0, 26.56, 947
0 0 10, 28.14, 594
0 1 5, 30.13, 1000
0 1 10, 39.08, 358
1 1 0, 46.90, 734
0 1 15, 51.06, 738
1 1 10, 55.59, 479
2 0 15, 71.84, 249

=====

No. 3
# Mn5Sb4
Computed powder XRD pattern, Cu Kα (λ = 1.5418 Å). Input: DFT lattice parameters and positions (PBE).
Lines closer than 0.1° are merged.

Structural model:
```
data_Mn5Sb4
_space_group_name_H-M_alt 'P -6 m 2'
_space_group_IT_number 187
_space_group_name_Hall 'P -6 2'
_cell_length_a 4.2757
_cell_length_b 4.2757
_cell_length_c 10.9575
_cell_angle_alpha 90.00
_cell_angle_beta 90.00
_cell_angle_gamma 120.00
loop_
_atom_site_label
_atom_site_type_symbol
_atom_site_fract_x
_atom_site_fract_y
_atom_site_fract_z
_atom_site_occupancy
Mn1 Mn 0.0000 0.0000 0.0000 1
Mn2 Mn 0.3333 0.6667 0.1251 1
Mn3 Mn 0.3333 0.6667 0.3764 1
Sb1 Sb 0.0000 0.0000 0.2522 1
Sb2 Sb 0.6667 0.3333 0.0000 1
Sb3 Sb 0.6667 0.3333 0.5000 1
```

Peak list (8 most intense, 15 to 90 degrees two-theta, sorted by position)
(hkl), two_theta, intensity
1 0 2, 29.11, 1000
1 0 4, 40.98, 699
1 1 0, 42.27, 758
2 0 2, 52.15, 195
2 0 4, 60.34, 209
2 1 2, 69.29, 165
2 1 4, 76.42, 202
1 1 8, 83.90, 192

=====

No. 4
# MnSb4
Computed powder XRD pattern, Cu Kα (λ = 1.5418 Å). Input: DFT lattice parameters and positions (PBE).
Lines closer than 0.1° are merged.

Structural model:
```
data_MnSb4
_space_group_name_H-M_alt 'P 4/m m m'
_space_group_IT_number 123
_space_group_name_Hall '-P 4 2'
_cell_length_a 3.0805
_cell_length_b 3.0805
_cell_length_c 14.9942
_cell_angle_alpha 90.00
_cell_angle_beta 90.00
_cell_angle_gamma 90.00
loop_
_atom_site_label
_atom_site_type_symbol
_atom_site_fract_x
_atom_site_fract_y
_atom_site_fract_z
_atom_site_occupancy
Mn1 Mn 0.0000 0.0000 0.0000 1
Sb1 Sb 0.0000 0.0000 0.1803 1
Sb2 Sb 0.0000 0.0000 0.3994 1
```

Peak list (8 most intense, 15 to 90 degrees two-theta, sorted by position)
(hkl), two_theta, intensity
1 0 0, 28.99, 1000
0 0 5, 29.79, 391
1 1 0, 41.45, 375
1 0 5, 42.05, 605
1 1 5, 51.88, 322
2 1 0, 68.06, 166
2 0 5, 68.48, 137
2 1 5, 76.02, 207

=====

No. 5
# Mn27Sb26
Computed powder XRD pattern, Cu Kα (λ = 1.5418 Å). Input: DFT lattice parameters and positions (PBE).
Lines closer than 0.1° are merged.

Structural model:
```
data_Mn27Sb26
_space_group_name_H-M_alt 'P 1'
_space_group_IT_number 1
_space_group_name_Hall 'P 1'
_cell_length_a 9.9553
_cell_length_b 10.7729
_cell_length_c 11.9718
_cell_angle_alpha 108.85
_cell_angle_beta 112.75
_cell_angle_gamma 99.16
loop_
_atom_site_label
_atom_site_type_symbol
_atom_site_fract_x
_atom_site_fract_y
_atom_site_fract_z
_atom_site_occupancy
Mn1 Mn 0.0000 0.0000 0.0000 1
Mn2 Mn 0.0336 0.9215 0.7664 1
Mn3 Mn 0.0757 0.8504 0.5421 1
Mn4 Mn 0.1166 0.7712 0.3100 1
Mn5 Mn 0.1510 0.6959 0.0759 1
Mn6 Mn 0.1903 0.6142 0.8442 1
Mn7 Mn 0.2284 0.5384 0.6171 1
Mn8 Mn 0.2627 0.8113 0.7580 1
Mn9 Mn 0.2664 0.4644 0.3861 1
Mn10 Mn 0.3070 0.3858 0.1553 1
Mn11 Mn 0.3471 0.3169 0.9270 1
Mn12 Mn 0.3846 0.2357 0.6918 1
Mn13 Mn 0.4221 0.1547 0.4619 1
Mn14 Mn 0.4595 0.0784 0.2279 1
Mn15 Mn 0.5012 0.0009 0.9993 1
Mn16 Mn 0.5373 0.9270 0.7735 1
Mn17 Mn 0.5724 0.8480 0.5389 1
Mn18 Mn 0.6157 0.7706 0.3099 1
Mn19 Mn 0.6549 0.6915 0.0815 1
Mn20 Mn 0.6936 0.6152 0.8457 1
Mn21 Mn 0.7256 0.5383 0.6155 1
Mn22 Mn 0.7639 0.4595 0.3814 1
Mn23 Mn 0.8084 0.3865 0.1550 1
Mn24 Mn 0.8473 0.3083 0.9241 1
Mn25 Mn 0.8830 0.2314 0.6939 1
Mn26 Mn 0.9204 0.1542 0.4612 1
Mn27 Mn 0.9604 0.0777 0.2311 1
Sb1 Sb 0.0710 0.1941 0.9109 1
Sb2 Sb 0.0827 0.5001 0.1663 1
Sb3 Sb 0.1460 0.0417 0.4498 1
Sb4 Sb 0.1569 0.3455 0.7043 1
Sb5 Sb 0.2238 0.8852 0.9812 1
Sb6 Sb 0.2368 0.1924 0.2450 1
Sb7 Sb 0.2988 0.7363 0.5329 1
Sb8 Sb 0.3162 0.0590 0.7857 1
Sb9 Sb 0.3757 0.5823 0.0661 1
Sb10 Sb 0.3913 0.8867 0.3214 1
Sb11 Sb 0.4526 0.4249 0.6020 1
Sb12 Sb 0.4796 0.7243 0.8666 1
Sb13 Sb 0.5310 0.2721 0.1390 1
Sb14 Sb 0.5424 0.5771 0.3979 1
Sb15 Sb 0.6073 0.1186 0.6806 1
Sb16 Sb 0.6241 0.4231 0.9366 1
Sb17 Sb 0.6845 0.9635 0.2190 1
Sb18 Sb 0.6970 0.2675 0.4746 1
Sb19 Sb 0.7588 0.8105 0.7565 1
Sb20 Sb 0.7758 0.1160 0.0141 1
Sb21 Sb 0.8415 0.6572 0.2983 1
Sb22 Sb 0.8513 0.9621 0.5528 1
Sb23 Sb 0.9155 0.5014 0.8322 1
Sb24 Sb 0.9275 0.8076 0.0911 1
Sb25 Sb 0.9879 0.6430 0.6198 1
Sb26 Sb 0.9917 0.3478 0.3724 1
```

Peak list (8 most intense, 15 to 90 degrees two-theta, sorted by position)
(hkl), two_theta, intensity
1 1 2, 29.73, 1000
3 1 -2, 29.79, 335
1 3 -3, 29.93, 682
0 2 -5, 40.89, 376
-4 2 3, 41.00, 547
4 -1 1, 44.03, 342
2 4 -1, 44.41, 663
3 3 -7, 55.50, 228

=====

No. 6
# Mn14Sb13
Computed powder XRD pattern, Cu Kα (λ = 1.5418 Å). Input: DFT lattice parameters and positions (PBE).
Lines closer than 0.1° are merged.

Structural model:
```
data_Mn14Sb13
_space_group_name_H-M_alt 'C 1 2/c 1'
_space_group_IT_number 15
_space_group_name_Hall '-C 2yc'
_cell_length_a 16.6400
_cell_length_b 7.1217
_cell_length_c 18.6064
_cell_angle_alpha 90.00
_cell_angle_beta 105.77
_cell_angle_gamma 90.00
loop_
_atom_site_label
_atom_site_type_symbol
_atom_site_fract_x
_atom_site_fract_y
_atom_site_fract_z
_atom_site_occupancy
Mn1 Mn 0.0000 0.0000 0.0000 1
Mn2 Mn 0.0000 0.1656 0.2500 1
Mn3 Mn 0.0369 0.4954 0.1923 1
Mn4 Mn 0.0778 0.0027 0.8841 1
Mn5 Mn 0.1154 0.4974 0.0778 1
Mn6 Mn 0.1538 0.0003 0.2713 1
Mn7 Mn 0.1927 0.4974 0.9635 1
Mn8 Mn 0.2280 0.0018 0.1545 1
Sb1 Sb 0.0000 0.1880 0.7500 1
Sb2 Sb 0.0378 0.3340 0.9415 1
Sb3 Sb 0.0744 0.1635 0.1371 1
Sb4 Sb 0.1233 0.3412 0.3322 1
Sb5 Sb 0.1541 0.1670 0.5188 1
Sb6 Sb 0.1917 0.3343 0.7120 1
Sb7 Sb 0.2305 0.1672 0.9040 1
```

Peak list (8 most intense, 15 to 90 degrees two-theta, sorted by position)
(hkl), two_theta, intensity
2 2 -3, 29.77, 1000
7 1 -4, 41.16, 565
3 3 2, 44.01, 537
8 2 1, 54.03, 179
6 2 -9, 55.88, 165
4 4 -6, 61.85, 105
5 5 -1, 72.15, 97
2 4 10, 78.99, 122